# Mg7Zn2Cd2
Simulated X-ray powder pattern, a wavelength of 1.5418 Å. Input: a cell relaxed with GGA-PBE.
Peak positions follow from Bragg's law for the DFT cell and can differ from measured ones.

Crystal structure
```
data_Mg7Zn2Cd2
_symmetry_space_group_name_H-M 'I m m 2'
_symmetry_Int_Tables_number 44
_symmetry_space_group_name_Hall 'I 2 -2'
_cell_length_a 3.247
_cell_length_b 15.830
_cell_length_c 9.256
_cell_angle_alpha 90.00
_cell_angle_beta 90.00
_cell_angle_gamma 90.00
loop_
_atom_site_label
_atom_site_type_symbol
_atom_site_fract_x
_atom_site_fract_y
_atom_site_fract_z
Mg1 Mg 0.000 0.000 0.000
Mg2 Mg 0.000 0.116 0.451
Mg3 Mg 0.000 0.326 0.664
Mg4 Mg 0.000 0.342 0.250
Zn1 Zn 0.000 0.241 0.951
Cd1 Cd 0.000 0.000 0.692
Cd2 Cd 0.000 0.500 0.766
```

Largest 10 diffraction maxima, most intense first, 2θ = 5–70°:
22.3 deg, d 3.995, I = 100, hkl 0 2 2
37.1 deg, d 2.423, I = 91, hkl 1 4 1
22.5 deg, d 3.958, I = 57, hkl 0 4 0
31.3 deg, d 2.857, I = 54, hkl 1 2 1
39.3 deg, d 2.292, I = 52, hkl 0 6 2
42.0 deg, d 2.152, I = 47, hkl 1 2 3
29.1 deg, d 3.064, I = 43, hkl 1 0 1
45.4 deg, d 1.999, I = 30, hkl 1 6 1
33.6 deg, d 2.664, I = 29, hkl 0 3 3
61.7 deg, d 1.504, I = 25, hkl 0 8 4



# Mg16Zn12Cd
Simulated X-ray powder pattern, a wavelength of 1.5418 Å. Input: a cell relaxed with GGA-PBE.
Peak positions follow from Bragg's law for the DFT cell and can differ from measured ones.

Crystal structure
```
data_Mg16Zn12Cd
_symmetry_space_group_name_H-M 'C 1 m 1'
_symmetry_Int_Tables_number 8
_symmetry_space_group_name_Hall 'C -2y'
_cell_length_a 10.283
_cell_length_b 13.933
_cell_length_c 8.975
_cell_angle_alpha 90.00
_cell_angle_beta 121.84
_cell_angle_gamma 90.00
loop_
_atom_site_label
_atom_site_type_symbol
_atom_site_fract_x
_atom_site_fract_y
_atom_site_fract_z
Mg1 Mg 0.000 0.000 0.000
Mg2 Mg 0.002 0.000 0.659
Mg3 Mg 0.012 0.308 0.311
Mg4 Mg 0.039 0.371 0.002
Mg5 Mg 0.199 0.202 0.669
Mg6 Mg 0.307 0.000 0.699
Mg7 Mg 0.323 0.318 0.000
Mg8 Mg 0.327 0.000 0.301
Mg9 Mg 0.343 0.337 0.399
Mg10 Mg 0.457 0.147 0.606
Zn1 Zn 0.094 0.096 0.359
Zn2 Zn 0.151 0.500 0.840
Zn3 Zn 0.175 0.189 0.168
Zn4 Zn 0.244 0.404 0.653
Zn5 Zn 0.260 0.094 0.976
Zn6 Zn 0.326 0.500 0.179
Zn7 Zn 0.498 0.310 0.812
Cd1 Cd 0.131 0.500 0.320
```

Largest 10 diffraction maxima, most intense first, 2θ = 5–70°:
37.6 deg, d 2.392, I = 100, hkl 1 5 1
38.1 deg, d 2.364, I = 96, hkl 1 5 -2
37.3 deg, d 2.409, I = 87, hkl 4 2 -2
36.4 deg, d 2.470, I = 81, hkl 4 0 -1
21.7 deg, d 4.101, I = 77, hkl 1 3 0
42.4 deg, d 2.130, I = 77, hkl 3 5 -2
42.0 deg, d 2.150, I = 62, hkl 3 5 -1
35.9 deg, d 2.500, I = 56, hkl 1 3 2
20.3 deg, d 4.368, I = 48, hkl 2 0 0
40.4 deg, d 2.231, I = 48, hkl 2 0 -4